No. 1
Diffraction record for Nd12Ni6Sn. The X-ray powder pattern is computed, not measured: it uses the GGA-PBE geometry in Alexandria and CuKα.

Largest 8 diffraction maxima, by intensity, 15 to 90 degrees two-theta:
33.3°, I = 1000
28.0°, I = 419
30.8°, I = 363
53.0°, I = 334
56.3°, I = 331
46.0°, I = 223
65.6°, I = 168
81.0°, I = 162

Structure:
```
Nd12Ni6Sn
1.0
-5.034 5.034 5.034
5.034 -5.034 5.034
5.034 5.034 -5.034
Nd Ni Sn
12 6 1
direct
0.121 0.814 0.307
0.186 0.307 0.492
0.186 0.693 0.879
0.307 0.121 0.814
0.307 0.492 0.186
0.492 0.186 0.307
0.508 0.814 0.693
0.693 0.508 0.814
0.693 0.879 0.186
0.814 0.307 0.121
0.814 0.693 0.508
0.879 0.186 0.693
0.121 0.621 0.500
0.379 0.500 0.879
0.500 0.121 0.621
0.500 0.879 0.379
0.621 0.500 0.121
0.879 0.379 0.500
0.000 0.000 0.000
```

---

No. 2
Diffraction record for Nd3Ni8Sn. The X-ray powder pattern is computed, not measured: it uses the GGA-PBE geometry in Alexandria and CuKα.

Largest 8 diffraction maxima, by intensity, 15 to 90 degrees two-theta:
41.3°, I = 1000
35.0°, I = 571
67.1°, I = 281
62.8°, I = 158
43.2°, I = 139
73.9°, I = 117
74.1°, I = 106
88.4°, I = 80

Structure:
```
Nd3Ni8Sn
1.0
2.565 1.481 8.355
-2.565 1.481 8.355
0.000 -2.961 8.355
Nd Ni Sn
3 8 1
direct
0.000 0.000 0.000
0.127 0.127 0.127
0.509 0.509 0.509
0.064 0.565 0.565
0.067 0.067 0.565
0.067 0.565 0.067
0.315 0.315 0.315
0.565 0.064 0.565
0.565 0.067 0.067
0.565 0.565 0.064
0.815 0.815 0.815
0.633 0.633 0.633
```